No. 1
This entry pairs a crystal structure of PrSnHg6 with its calculated PXRD pattern. Radiation: Cu Kα, 1.54184 Å. Structure: a PBE-relaxed structure.
Intensities are scaled so that the largest is 100.

Cell and atoms:
abc: 9.0284 9.0284 9.0284
angles: 39.74 39.74 39.74
Fractional coordinates of all 8 atoms:
Pr  0.0000  0.0000  0.0000
Sn  0.5000  0.5000  0.5000
Hg  0.0672  0.0672  0.5554
Hg  0.0672  0.5554  0.0672
Hg  0.4446  0.9328  0.9328
Hg  0.5554  0.0672  0.0672
Hg  0.9328  0.4446  0.9328
Hg  0.9328  0.9328  0.4446

Most intense lines, 10° ≤ 2θ ≤ 90°, low angle first:
| 2theta | I_rel |
| --- | --- |
| 10.65 | 71 |
| 17.06 | 62 |
| 33.93 | 100 |
| 34.51 | 99 |
| 42.45 | 60 |
| 70.09 | 49 |



No. 2
This entry pairs a crystal structure of Cs7SnO6 with its calculated PXRD pattern. Radiation: Cu Kα, 1.54184 Å. Structure: a PBE-relaxed structure.
Intensities are scaled so that the largest is 100.

Cell and atoms:
abc: 11.0127 11.0127 11.0127
angles: 139.19 104.06 90.02
Fractional coordinates of all 28 atoms:
Cs  0.0275  0.2411  0.2685
Cs  0.1013  0.5203  0.8773
Cs  0.1430  0.0203  0.4190
Cs  0.2500  0.2500  0.0000
Cs  0.3570  0.7760  0.8773
Cs  0.3987  0.2760  0.4190
Cs  0.4725  0.7411  0.2136
Cs  0.5275  0.2589  0.7864
Cs  0.6013  0.7240  0.5810
Cs  0.6430  0.2240  0.1227
Cs  0.7500  0.7500  0.0000
Cs  0.8570  0.9797  0.5810
Cs  0.8987  0.4797  0.1227
Cs  0.9725  0.7589  0.7315
Sn  0.2500  0.7500  0.5000
Sn  0.7500  0.2500  0.5000
O  0.0918  0.8361  0.5666
O  0.1595  0.9225  0.0819
O  0.2305  0.6639  0.2557
O  0.2695  0.5252  0.4334
O  0.3405  0.4225  0.7630
O  0.4082  0.9748  0.7443
O  0.5918  0.0252  0.2557
O  0.6595  0.5775  0.2370
O  0.7305  0.4748  0.5666
O  0.7695  0.3361  0.7443
O  0.8405  0.0775  0.9181
O  0.9082  0.1639  0.4334

Most intense lines, 10° ≤ 2θ ≤ 90°, low angle first:
| 2theta | I_rel |
| --- | --- |
| 24.77 | 17 |
| 25.87 | 18 |
| 26.38 | 100 |
| 29.09 | 30 |
| 29.38 | 14 |
| 29.68 | 14 |



No. 3
This entry pairs a crystal structure of Na2ThCd6 with its calculated PXRD pattern. Radiation: Cu Kα, 1.54184 Å. Structure: a PBE-relaxed structure.
Intensities are scaled so that the largest is 100.

Cell and atoms:
abc: 8.9053 8.9053 3.3054
angles: 90.06 90.06 60.00
Fractional coordinates of all 9 atoms:
Na  0.1667  0.1667  0.0000
Na  0.8333  0.8333  0.0000
Th  0.5000  0.5000  0.0000
Cd  0.1627  0.5000  0.4990
Cd  0.1627  0.8373  0.5000
Cd  0.5000  0.1627  0.4990
Cd  0.5000  0.8373  0.5010
Cd  0.8373  0.1627  0.5000
Cd  0.8373  0.5000  0.5010

Most intense lines, 10° ≤ 2θ ≤ 90°, low angle first:
| 2theta | I_rel |
| --- | --- |
| 11.47 | 51 |
| 33.77 | 90 |
| 34.90 | 100 |
| 49.35 | 30 |
| 61.87 | 30 |
| 67.36 | 28 |



No. 4
This entry pairs a crystal structure of La12Tb7Sm with its calculated PXRD pattern. Radiation: Cu Kα, 1.54184 Å. Structure: a PBE-relaxed structure.
Intensities are scaled so that the largest is 100.

Cell and atoms:
abc: 11.5365 11.5365 11.5365
angles: 116.67 116.67 116.67
Fractional coordinates of all 20 atoms:
La  0.0000  0.4078  0.5922
La  0.0000  0.5922  0.4078
La  0.0697  0.0697  0.4250
La  0.0697  0.4250  0.0697
La  0.4078  0.0000  0.5922
La  0.4078  0.5922  0.0000
La  0.4250  0.0697  0.0697
La  0.5750  0.9303  0.9303
La  0.5922  0.0000  0.4078
La  0.5922  0.4078  0.0000
La  0.9303  0.5750  0.9303
La  0.9303  0.9303  0.5750
Tb  0.0000  0.0000  0.0000
Tb  0.1354  0.3848  0.3848
Tb  0.3848  0.1354  0.3848
Tb  0.3848  0.3848  0.1354
Tb  0.6152  0.6152  0.8646
Tb  0.6152  0.8646  0.6152
Tb  0.8646  0.6152  0.6152
Sm  0.5000  0.5000  0.5000

Most intense lines, 10° ≤ 2θ ≤ 90°, low angle first:
| 2theta | I_rel |
| --- | --- |
| 27.25 | 53 |
| 29.75 | 100 |
| 29.87 | 51 |
| 32.49 | 39 |
| 32.89 | 44 |
| 38.66 | 38 |



No. 5
This entry pairs a crystal structure of Ac2DyBi2Te2 with its calculated PXRD pattern. Radiation: Cu Kα, 1.54184 Å. Structure: a PBE-relaxed structure.
Intensities are scaled so that the largest is 100.

Cell and atoms:
abc: 9.3140 9.3140 9.3140
angles: 143.51 143.51 52.56
Fractional coordinates of all 7 atoms:
Ac  0.1267  0.1267  0.0000
Ac  0.8733  0.8733  0.0000
Dy  0.5000  0.5000  0.0000
Bi  0.0000  0.5000  0.5000
Bi  0.5000  0.0000  0.5000
Te  0.3171  0.3171  0.0000
Te  0.6829  0.6829  0.0000

Most intense lines, 10° ≤ 2θ ≤ 90°, low angle first:
| 2theta | I_rel |
| --- | --- |
| 10.59 | 55 |
| 24.07 | 42 |
| 30.47 | 66 |
| 30.66 | 100 |
| 30.85 | 55 |
| 44.05 | 42 |



No. 6
This entry pairs a crystal structure of PuIn with its calculated PXRD pattern. Radiation: Cu Kα, 1.54184 Å. Structure: a PBE-relaxed structure.
Intensities are scaled so that the largest is 100.

Cell and atoms:
abc: 3.2089 3.2089 4.9171
angles: 90.00 90.00 90.00
Fractional coordinates of all 2 atoms:
Pu  0.0000  0.0000  0.0000
In  0.5000  0.5000  0.5000

Most intense lines, 10° ≤ 2θ ≤ 90°, low angle first:
| 2theta | I_rel |
| --- | --- |
| 33.34 | 100 |
| 36.55 | 20 |
| 39.72 | 31 |
| 55.08 | 24 |
| 63.76 | 16 |
| 68.06 | 26 |